# 1
The following is a calculated XRD peak list of Fe3Ge. It was derived from a DFT-relaxed cell (GGA-PBE, Alexandria), using copper Kα.

Structure:
Lattice parameters (Å, degrees): 5.135 5.135 4.213 90.00 90.00 120.00
Sites, in units of the cell vectors:
Fe 0.162 0.325 0.250
Fe 0.162 0.838 0.250
Fe 0.325 0.162 0.750
Fe 0.675 0.838 0.250
Fe 0.838 0.162 0.750
Fe 0.838 0.675 0.750
Ge 0.333 0.667 0.750
Ge 0.667 0.333 0.250

Peak list (11 most intense, 2θ = 15–90°, by intensity)
d_spacing	two_theta	I_rel
1.966	46.2	100
2.106	42.9	28
2.224	40.6	25
1.096	89.4	18
1.187	81.0	17
1.284	73.8	15
1.529	60.5	14
1.112	87.8	2
3.058	29.2	2
2.568	34.9	1
1.681	54.6	1

# 2
The following is a calculated XRD peak list of Fe7Ge. It was derived from a DFT-relaxed cell (GGA-PBE, Alexandria), using copper Kα.

Structure:
Lattice parameters (Å, degrees): 8.030 8.030 8.030 154.57 154.57 36.27
Sites, in units of the cell vectors:
Fe 0.000 0.000 0.000
Fe 0.123 0.623 0.500
Fe 0.248 0.248 0.000
Fe 0.377 0.877 0.500
Fe 0.623 0.123 0.500
Fe 0.752 0.752 0.000
Fe 0.877 0.377 0.500
Ge 0.500 0.500 0.000

Peak list (6 most intense, 2θ = 15–90°, by intensity)
d_spacing	two_theta	I_rel
2.091	43.3	100
1.767	51.7	29
1.296	73.0	19
1.908	47.7	18
1.133	85.7	12
1.250	76.2	8